Record 1
Theoretical powder XRD pattern of Rb2Li14Tb3O14 for Cu Kα, 1.54184 Å, from DFT lattice parameters and positions (PBE).
Neutral-atom scattering factors, no anomalous dispersion.

Peak list (10 most intense, 2θ = 10–90°, in order of rising 2θ)
16.08°, I 100
21.68°, I 48
26.99°, I 24
27.15°, I 20
31.57°, I 22
33.34°, I 33
34.90°, I 62
37.86°, I 24
44.73°, I 20
55.70°, I 18

Cell and atoms:
```
Rb2Li14Tb3O14
1.0
-3.7249 4.0987 6.6070
3.7249 -4.0987 6.6070
3.7249 4.0987 -6.6070
Rb Li Tb O
2 14 3 14
Cartesian
1.7552 0.0000 0.0000
5.6945 0.0000 0.0000
3.7249 2.8941 -3.5508
2.0433 2.8287 -1.7528
1.6816 -1.2700 4.8542
3.7249 2.8209 0.0000
0.0000 1.2047 3.0562
2.0433 2.8287 1.7528
1.6816 -1.2700 8.3598
2.0433 5.3687 -1.7528
1.6816 1.2700 4.8542
3.7249 2.8941 3.5508
0.0000 1.2778 6.6070
2.0433 5.3687 1.7528
1.6816 1.2700 8.3598
0.0000 1.2047 10.1579
3.7249 0.0000 3.0457
0.0000 4.0987 0.0000
0.0000 4.0987 3.5613
3.7249 1.7939 -1.6808
3.7249 -1.5139 4.8778
2.2286 4.0987 -3.2578
1.4962 0.0000 3.3492
3.7249 1.7939 1.6808
0.0000 2.5848 1.7293
2.2261 4.0987 0.0000
1.4988 0.0000 6.6070
3.7249 1.5139 4.8778
0.0000 2.3048 4.9262
2.2286 4.0987 3.2578
1.4962 0.0000 9.8648
0.0000 5.6126 1.7293
0.0000 2.3048 8.2878
```


Record 2
Theoretical powder XRD pattern of Ho2ScCuS5 for Cu Kα, 1.54184 Å, from DFT lattice parameters and positions (PBE).
Neutral-atom scattering factors, no anomalous dispersion.

Peak list (10 most intense, 2θ = 10–90°, in order of rising 2θ)
15.68°, I 21
21.94°, I 38
26.09°, I 62
28.92°, I 20
29.05°, I 42
34.14°, I 100
36.60°, I 24
40.04°, I 48
44.02°, I 21
48.38°, I 30

Cell and atoms:
```
Ho2ScCuS5
1.0
1.8807 -8.1039 0.0000
1.8807 8.1039 0.0000
0.0000 0.0000 11.2999
Ho Sc Cu S
4 2 2 10
Cartesian
1.8807 6.3411 5.6500
1.8807 6.0647 1.3737
1.8807 -6.0647 7.0237
1.8807 -6.3411 0.0000
1.8807 4.9622 9.3317
1.8807 -4.9622 3.6818
1.8807 1.0033 3.0371
1.8807 -1.0033 8.6870
1.8807 7.3580 9.9264
1.8807 3.4624 5.4644
1.8807 3.0789 1.8621
1.8807 2.3480 9.2215
1.8807 0.0455 6.6984
1.8807 -0.0455 1.0485
1.8807 -2.3480 3.5715
1.8807 -3.0789 7.5121
1.8807 -3.4624 11.1144
1.8807 -7.3580 4.2764
```


Record 3
Theoretical powder XRD pattern of Na2LiGeAs2 for Cu Kα, 1.54184 Å, from DFT lattice parameters and positions (PBE).
Neutral-atom scattering factors, no anomalous dispersion.

Peak list (10 most intense, 2θ = 10–90°, in order of rising 2θ)
12.54°, I 55
16.01°, I 52
24.03°, I 100
32.69°, I 51
38.32°, I 55
39.35°, I 49
41.52°, I 62
43.75°, I 27
56.28°, I 19
72.95°, I 22

Cell and atoms:
```
Na2LiGeAs2
1.0
-3.0093 7.0561 3.1478
3.0093 -7.0561 3.1478
3.0093 7.0561 -3.1478
Na Li Ge As
4 2 2 4
Cartesian
1.4506 2.4942 0.0000
1.4506 -2.4942 3.1478
1.5586 9.5503 0.0000
1.5586 4.5619 3.1478
0.0000 0.0000 1.5739
0.0000 0.0000 4.7217
3.0093 0.0000 1.5739
0.0000 7.0561 1.5739
4.4496 1.5187 0.0000
1.4403 5.5375 0.0000
1.5690 1.5187 3.1478
-1.4403 5.5375 3.1478
```


Record 4
Theoretical powder XRD pattern of Mo2Pd3Rh2 for Cu Kα, 1.54184 Å, from DFT lattice parameters and positions (PBE).
Neutral-atom scattering factors, no anomalous dispersion.

Peak list (10 most intense, 2θ = 10–90°, in order of rising 2θ)
33.20°, I 18
39.23°, I 100
39.87°, I 52
42.64°, I 41
43.97°, I 16
46.41°, I 25
52.31°, I 18
75.76°, I 15
83.00°, I 22
85.25°, I 15

Cell and atoms:
```
Mo2Pd3Rh2
1.0
2.1206 -9.5602 0.0000
2.1206 9.5602 0.0000
0.0000 0.0000 2.6988
Mo Pd Rh
2 3 2
Cartesian
2.1206 8.1317 0.0000
2.1206 -8.1317 0.0000
2.1206 5.5025 1.3494
2.1206 0.0000 1.3494
2.1206 -5.5025 1.3494
2.1206 2.5769 1.3494
2.1206 -2.5769 1.3494
```


Which formula does entry 1 have?
Rb2Li14Tb3O14


Repeat the first record exactly.
Theoretical powder XRD pattern of Rb2Li14Tb3O14 for Cu Kα, 1.54184 Å, from DFT lattice parameters and positions (PBE).
Neutral-atom scattering factors, no anomalous dispersion.

Peak list (10 most intense, 2θ = 10–90°, in order of rising 2θ)
16.08°, I 100
21.68°, I 48
26.99°, I 24
27.15°, I 20
31.57°, I 22
33.34°, I 33
34.90°, I 62
37.86°, I 24
44.73°, I 20
55.70°, I 18

Cell and atoms:
```
Rb2Li14Tb3O14
1.0
-3.7249 4.0987 6.6070
3.7249 -4.0987 6.6070
3.7249 4.0987 -6.6070
Rb Li Tb O
2 14 3 14
Cartesian
1.7552 0.0000 0.0000
5.6945 0.0000 0.0000
3.7249 2.8941 -3.5508
2.0433 2.8287 -1.7528
1.6816 -1.2700 4.8542
3.7249 2.8209 0.0000
0.0000 1.2047 3.0562
2.0433 2.8287 1.7528
1.6816 -1.2700 8.3598
2.0433 5.3687 -1.7528
1.6816 1.2700 4.8542
3.7249 2.8941 3.5508
0.0000 1.2778 6.6070
2.0433 5.3687 1.7528
1.6816 1.2700 8.3598
0.0000 1.2047 10.1579
3.7249 0.0000 3.0457
0.0000 4.0987 0.0000
0.0000 4.0987 3.5613
3.7249 1.7939 -1.6808
3.7249 -1.5139 4.8778
2.2286 4.0987 -3.2578
1.4962 0.0000 3.3492
3.7249 1.7939 1.6808
0.0000 2.5848 1.7293
2.2261 4.0987 0.0000
1.4988 0.0000 6.6070
3.7249 1.5139 4.8778
0.0000 2.3048 4.9262
2.2286 4.0987 3.2578
1.4962 0.0000 9.8648
0.0000 5.6126 1.7293
0.0000 2.3048 8.2878
```